Diffraction record for GdEr4Al15. The X-ray powder pattern is calculated, not measured: it uses a DFT-relaxed cell (PBE, OQMD) and λ = 1.5418 Å (Cu Kα).

Atomic structure:
```
GdEr4Al15
1.0
3.042 1.757 11.946
-3.042 1.757 11.946
0.000 -3.513 11.946
Gd Er Al
1 4 15
Cartesian
0.000 0.000 0.000 Gd
0.000 0.000 4.704 Er
0.000 0.000 14.338 Er
0.000 0.000 21.500 Er
0.000 0.000 31.134 Er
-1.521 -0.878 11.946 Al
0.000 -1.581 9.558 Al
-1.370 0.791 9.558 Al
-1.537 -0.887 16.740 Al
0.000 -1.774 19.097 Al
-1.537 0.887 19.097 Al
-1.370 -0.791 26.280 Al
-1.521 0.878 23.892 Al
0.000 1.757 11.946 Al
1.370 0.791 9.558 Al
1.537 -0.887 16.740 Al
0.000 1.775 16.740 Al
1.537 0.887 19.097 Al
1.370 -0.791 26.280 Al
0.000 1.581 26.280 Al
```

Main lines, in order of falling intensity (10° ≤ 2θ ≤ 80°):
d/Å, 2theta, I (rel.)
3.042, 29.4, 100
3.672, 24.2, 77
2.343, 38.4, 71
4.542, 19.5, 71
3.413, 26.1, 71
2.271, 39.7, 68
2.389, 37.6, 54
2.528, 35.5, 53
1.879, 48.4, 50
1.283, 73.9, 44